For Ba2MoSe, the PBE geometry in Alexandria gives the computed powder XRD pattern in this record (Cu Kα X-rays).
Kinematic intensities with the Lorentz-polarization factor, no thermal factor.

Top 6 peaks for 10 to 80 degrees two-theta, sorted by position:
Position (°2θ)  I (rel.)
27.49  100
29.63  75
35.32  45
37.13  32
38.13  30
49.02  40

Structure:
```
data_Ba2MoSe
_chemical_formula_sum 'Ba4 Mo2 Se2'
_symmetry_space_group_name_H-M 'A m m 2'
_symmetry_Int_Tables_number 38
_cell_length_a 4.7200
_cell_length_b 4.8432
_cell_length_c 11.5599
_cell_angle_alpha 90.00
_cell_angle_beta 90.00
_cell_angle_gamma 90.00
loop_
_symmetry_equiv_pos_as_xyz
'x,y,z'
'-x,-y,z'
'-x,y,z'
'x,-y,z'
'x,y+1/2,z+1/2'
'-x,-y+1/2,z+1/2'
'-x,y+1/2,z+1/2'
'x,-y+1/2,z+1/2'
loop_
_atom_site_label
_atom_site_type_symbol
_atom_site_fract_x
_atom_site_fract_y
_atom_site_fract_z
Ba1 Ba 0.0000 0.0000 0.0000
Ba2 Ba 0.5000 0.0000 0.2895
Mo1 Mo 0.0000 0.0000 0.6867
Se1 Se 0.5000 0.0000 0.5904
```